Entry 1:
This entry pairs a crystal structure of Sm4GaAuO with its theoretical powder XRD pattern. Radiation: Cu Kα. Structure: a cell relaxed with PBE.

Atomic structure:
Cell lengths 6.8008, 15.0306, 6.8003 Å; angles 90.00, 90.00, 90.00 degrees
Space group Cmcm (No. 63)
Inequivalent atoms, fractional coordinates:
Sm 0.0000 0.0671 0.2500 (multiplicity 4)
Sm 0.0000 0.4291 0.2500 (multiplicity 4)
Sm 0.2500 0.2500 0.0000 (multiplicity 8)
Ga 0.0000 0.3757 0.7500 (multiplicity 4)
Au 0.0000 0.1204 0.7500 (multiplicity 4)
O 0.0000 0.2540 0.2500 (multiplicity 4)

Peak list (10 most intense, 10 to 80 degrees two-theta, low angle first)
- hkl 2 0 0, 2θ 26.2, intensity 22.3
- hkl 2 2 0, 2θ 28.8, intensity 100.0
- hkl 1 5 1, 2θ 35.2, intensity 46.6
- hkl 2 4 0, 2θ 35.6, intensity 87.4
- hkl 2 0 2, 2θ 37.4, intensity 82.9
- hkl 3 5 1, 2θ 52.3, intensity 29.9
- hkl 2 6 2, 2θ 52.8, intensity 28.8
- hkl 4 0 0, 2θ 53.9, intensity 28.8
- hkl 4 2 2, 2θ 62.3, intensity 23.0
- hkl 4 4 2, 2θ 66.3, intensity 29.0

=====

Entry 2:
This entry pairs a crystal structure of Na2AcPuTe4 with its theoretical powder XRD pattern. Radiation: Cu Kα. Structure: a cell relaxed with PBE.

Atomic structure:
Cell lengths 7.9852, 4.6549, 8.0649 Å; angles 90.00, 109.80, 90.00 degrees
Space group P2/m (No. 10)
Inequivalent atoms, fractional coordinates:
Na 0.0000 0.0000 0.0000 (multiplicity 1)
Na 0.0000 0.5000 0.5000 (multiplicity 1)
Ac 0.5000 0.0000 0.5000 (multiplicity 1)
Pu 0.5000 0.5000 0.0000 (multiplicity 1)
Te 0.2532 0.5000 0.2388 (multiplicity 2)
Te 0.2643 0.0000 0.7682 (multiplicity 2)

Peak list (10 most intense, 10 to 80 degrees two-theta, low angle first)
- hkl 1 0 0, 2θ 11.8, intensity 41.2
- hkl 1 0 -2, 2θ 22.4, intensity 24.8
- hkl 2 0 -2, 2θ 27.2, intensity 100.0
- hkl 2 1 -1, 2θ 29.7, intensity 10.3
- hkl 0 2 0, 2θ 38.7, intensity 39.1
- hkl 3 1 -1, 2θ 39.0, intensity 38.1
- hkl 0 1 3, 2θ 40.6, intensity 13.3
- hkl 2 2 -2, 2θ 47.9, intensity 21.0
- hkl 1 3 1, 2θ 63.2, intensity 18.0
- hkl 5 1 -3, 2θ 63.6, intensity 12.0

=====

Entry 3:
This entry pairs a crystal structure of KU2F9 with its theoretical powder XRD pattern. Radiation: Cu Kα. Structure: a cell relaxed with PBE.

Atomic structure:
Cell lengths 8.7550, 11.5707, 7.0861 Å; angles 90.00, 90.00, 90.00 degrees
Space group Pnma (No. 62)
Inequivalent atoms, fractional coordinates:
K 0.0362 0.2500 0.1454 (multiplicity 4)
U 0.1753 0.0502 0.6526 (multiplicity 8)
F 0.0036 0.5991 0.5727 (multiplicity 8)
F 0.0674 0.5782 0.1981 (multiplicity 8)
F 0.1732 0.2500 0.6618 (multiplicity 4)
F 0.2083 0.0954 0.9724 (multiplicity 8)
F 0.2138 0.6067 0.8527 (multiplicity 8)

Peak list (10 most intense, 10 to 80 degrees two-theta, low angle first)
- hkl 0 2 0, 2θ 15.3, intensity 100.0
- hkl 2 0 1, 2θ 23.9, intensity 45.4
- hkl 2 2 0, 2θ 25.5, intensity 25.8
- hkl 0 3 1, 2θ 26.3, intensity 43.0
- hkl 1 0 2, 2θ 27.2, intensity 53.1
- hkl 1 3 1, 2θ 28.2, intensity 26.5
- hkl 2 2 1, 2θ 28.5, intensity 37.7
- hkl 1 2 2, 2θ 31.3, intensity 42.1
- hkl 1 3 3, 2θ 46.2, intensity 55.0
- hkl 3 3 2, 2θ 46.7, intensity 30.3

=====

Entry 4:
This entry pairs a crystal structure of Mg3UB4O12 with its theoretical powder XRD pattern. Radiation: Cu Kα. Structure: a cell relaxed with PBE.

Atomic structure:
Cell lengths 9.5941, 9.5941, 7.8885 Å; angles 90.00, 90.00, 120.00 degrees
Space group R32 (No. 155, hexagonal axes)
Inequivalent atoms, fractional coordinates:
Mg 0.0000 0.5559 0.0000 (multiplicity 9)
U 0.0000 0.0000 0.0000 (multiplicity 3)
B 0.0000 0.0000 0.5000 (multiplicity 3)
B 0.0000 0.4538 0.5000 (multiplicity 9)
O 0.0000 0.5927 0.5000 (multiplicity 9)
O 0.0000 0.8580 0.5000 (multiplicity 9)
O 0.0222 0.2043 0.1672 (multiplicity 18)

Peak list (10 most intense, 10 to 80 degrees two-theta, low angle first)
- hkl 1 0 1, 2θ 15.5, intensity 100.0
- hkl 1 1 0, 2θ 18.5, intensity 60.9
- hkl 0 2 1, 2θ 24.2, intensity 43.9
- hkl 0 1 2, 2θ 25.0, intensity 34.9
- hkl 2 1 1, 2θ 30.6, intensity 39.9
- hkl 2 0 2, 2θ 31.3, intensity 61.8
- hkl 1 2 2, 2θ 36.6, intensity 34.0
- hkl 1 1 3, 2θ 39.1, intensity 23.1
- hkl 1 3 1, 2θ 40.8, intensity 28.0
- hkl 2 2 3, 2θ 51.6, intensity 22.3

=====

Entry 5:
This entry pairs a crystal structure of AcErCuOs with its theoretical powder XRD pattern. Radiation: Cu Kα. Structure: a cell relaxed with PBE.

Atomic structure:
Cell lengths 7.1323, 7.1323, 7.1323 Å; angles 90.00, 90.00, 90.00 degrees
Space group F-43m (No. 216)
Inequivalent atoms, fractional coordinates:
Ac 0.0000 0.0000 0.0000 (multiplicity 4)
Er 0.0000 0.0000 0.5000 (multiplicity 4)
Cu 0.2500 0.2500 0.7500 (multiplicity 4)
Os 0.2500 0.2500 0.2500 (multiplicity 4)

Peak list (10 most intense, 10 to 80 degrees two-theta, low angle first)
- hkl 1 1 1, 2θ 21.6, intensity 9.3
- hkl 2 0 0, 2θ 25.0, intensity 5.0
- hkl 2 2 0, 2θ 35.6, intensity 100.0
- hkl 3 1 1, 2θ 42.0, intensity 5.2
- hkl 4 0 0, 2θ 51.2, intensity 17.9
- hkl 3 3 1, 2θ 56.2, intensity 2.4
- hkl 4 2 0, 2θ 57.8, intensity 2.2
- hkl 4 2 2, 2θ 63.9, intensity 36.8
- hkl 4 4 0, 2θ 75.4, intensity 11.4
- hkl 5 3 1, 2θ 79.5, intensity 1.9